# 1
For Er2Al3Ge4, a DFT-relaxed cell (PBE, the Materials Project) gives the theoretical powder diffractogram in this record (λ = 1.5418 Å (Cu Kα)).

Peak list (8 most intense, 5° ≤ 2θ ≤ 70°, by angle)
2θ (°)  d (Å)  I_rel
19.56  4.537  45
32.78  2.732  53
34.24  2.619  59
35.84  2.505  100
36.37  2.470  76
37.72  2.385  69
38.73  2.325  38
51.59  1.772  29

Structural model:
```
Er2Al3Ge4
1.0
2.9988 -7.3599 0.0000
2.9988 7.3599 0.0000
0.0000 0.0000 7.8676
Er Al Ge
4 6 8
Direct
0.1138 0.8862 0.9179 Er
0.3862 0.6138 0.4179 Er
0.6138 0.3862 0.5821 Er
0.8862 0.1138 0.0821 Er
0.0000 0.0000 0.5000 Al
0.0327 0.4673 0.7500 Al
0.4673 0.0327 0.2500 Al
0.5000 0.5000 0.0000 Al
0.5327 0.9673 0.7500 Al
0.9673 0.5327 0.2500 Al
0.1845 0.8155 0.5516 Ge
0.2044 0.2956 0.7500 Ge
0.2956 0.2044 0.2500 Ge
0.3155 0.6845 0.0516 Ge
0.6845 0.3155 0.9484 Ge
0.7044 0.7956 0.7500 Ge
0.7956 0.7044 0.2500 Ge
0.8155 0.1845 0.4484 Ge
```


# 2
For ErAl2Ge2, a DFT-relaxed cell (PBE, the Materials Project) gives the theoretical powder diffractogram in this record (λ = 1.5418 Å (Cu Kα)).

Peak list (8 most intense, 5° ≤ 2θ ≤ 70°, by angle)
2θ (°)  d (Å)  I_rel
13.55  6.535  32
27.64  3.227  100
36.65  2.452  71
42.18  2.142  52
48.46  1.879  20
51.18  1.785  18
57.09  1.613  20
68.41  1.371  15

Structural model:
```
ErAl2Ge2
1.0
4.2848 0.0000 0.0000
-2.1424 3.7107 0.0000
0.0000 0.0000 6.5348
Er Al Ge
1 2 2
Direct
0.0000 0.0000 0.0000 Er
0.3333 0.6667 0.3514 Al
0.6667 0.3333 0.6486 Al
0.3333 0.6667 0.7448 Ge
0.6667 0.3333 0.2552 Ge
```